Starting from a crystal structure in Alexandria, relaxed with PBE, the X-ray powder pattern of MgCd2Hg2Bi was computed for Cu Kα, 1.54184 Å.
Kinematic intensities with the Lorentz-polarization factor, no thermal factor.

Crystal structure
Cell lengths 7.2455, 5.9511, 7.3544 Å; angles 90.00, 99.21, 90.00 degrees
Space group P2_1/m (No. 11)
Unique sites:
1 Mg 0.1437 0.2500 0.0707 x2
2 Cd 0.0210 0.2500 0.4320 x2
3 Cd 0.4369 0.2500 0.4520 x2
4 Hg 0.3415 0.5019 0.8188 x4
5 Bi 0.1901 0.7500 0.2453 x2

Peak list (6 most intense, 2θ from 10° to 90°, by angle)
29.6°, intensity 97.1, hkl 2 0 1; 32.2°, intensity 76.6, hkl 2 0 -2; 32.6°, intensity 64.4, hkl 0 2 1; 34.2°, intensity 100.0, hkl 1 2 -1; 35.6°, intensity 51.8, hkl 1 2 1; 49.0°, intensity 32.6, hkl 3 2 0

Starting from a crystal structure in Alexandria, relaxed with PBE, the X-ray powder pattern of Cs3TmCl6 was computed for Cu Kα, 1.54184 Å.
Kinematic intensities with the Lorentz-polarization factor, no thermal factor.

Crystal structure
Cell lengths 11.7816, 11.7816, 11.7816 Å; angles 90.00, 90.00, 90.00 degrees
Space group Fm-3m (No. 225)
Unique sites:
1 Cs 0.0000 0.0000 0.0000 x4
2 Cs 0.2500 0.2500 0.2500 x8
3 Tm 0.0000 0.0000 0.5000 x4
4 Cl 0.0000 0.0000 0.2788 x24

Peak list (6 most intense, 2θ from 10° to 90°, by angle)
21.3°, intensity 100.0, hkl 2 2 0; 30.3°, intensity 49.5, hkl 4 0 0; 37.4°, intensity 44.6, hkl 4 2 2; 43.4°, intensity 33.7, hkl 4 4 0; 48.9°, intensity 25.4, hkl 6 2 0; 58.6°, intensity 27.9, hkl 6 4 2

Starting from a crystal structure in Alexandria, relaxed with PBE, the X-ray powder pattern of Er2UNbN4 was computed for Cu Kα, 1.54184 Å.
Kinematic intensities with the Lorentz-polarization factor, no thermal factor.

Crystal structure
Cell lengths 5.7048, 3.3538, 5.8350 Å; angles 90.00, 108.95, 90.00 degrees
Space group P2/m (No. 10)
Unique sites:
1 Er 0.0000 0.0000 0.0000 x1
2 Er 0.5000 0.5000 0.0000 x1
3 U 0.0000 0.5000 0.5000 x1
4 Nb 0.5000 0.0000 0.5000 x1
5 N 0.2472 0.0000 0.7402 x2
6 N 0.2534 0.5000 0.2661 x2

Peak list (6 most intense, 2θ from 10° to 90°, by angle)
32.4°, intensity 51.6, hkl 0 0 2; 32.8°, intensity 100.0, hkl 1 1 -1; 33.2°, intensity 48.5, hkl 2 0 0; 37.9°, intensity 94.3, hkl 1 1 1; 38.3°, intensity 45.8, hkl 2 0 -2; 54.5°, intensity 32.4, hkl 1 1 -3